Structure and simulated XRD peak list of BaLi2TcF8 (a cell relaxed with PBE; a wavelength of 1.5418 Å).

Cell lengths 8.1744, 8.1744, 8.1744 Å; angles 35.61, 35.61, 35.61 degrees
Sites, in units of the cell vectors:
Ba 0.0000 0.0000 0.0000
Li 0.2420 0.2420 0.2420
Li 0.7580 0.7580 0.7580
Tc 0.5000 0.5000 0.5000
F 0.1450 0.7726 0.4281
F 0.2274 0.5719 0.8550
F 0.3201 0.3201 0.3201
F 0.4281 0.1450 0.7726
F 0.5719 0.8550 0.2274
F 0.6799 0.6799 0.6799
F 0.7726 0.4281 0.1450
F 0.8550 0.2274 0.5719

Main lines, in order of falling intensity (2θ = 10–90°):
4.051 Å, rel. 100
3.456 Å, rel. 83
2.092 Å, rel. 65
2.026 Å, rel. 39
2.500 Å, rel. 33
3.824 Å, rel. 31
1.574 Å, rel. 27
1.519 Å, rel. 25
2.391 Å, rel. 23
2.376 Å, rel. 19
1.443 Å, rel. 15
1.620 Å, rel. 13